[1]
Theoretical X-ray diffraction stick pattern
Compound: Gd2HoCo2B2As3
Radiation: Cu Kα (λ = 1.5418 Å)
Structure: a cell relaxed with PBE

The 6 most intense peaks (2θ from 15° to 90°), by intensity:
| 2θ/deg | I_rel |
| --- | --- |
| 32.13 | 100 |
| 40.25 | 94 |
| 46.08 | 73 |
| 31.65 | 73 |
| 25.51 | 61 |
| 56.98 | 59 |

Structural model:
Cell: 11.6464 11.6464 11.6464 Å, 160.52 160.52 27.68°
Fractional coordinates of all 10 atoms:
Gd 0.1436 0.1436 0.0000
Gd 0.8564 0.8564 0.0000
Ho 0.5000 0.5000 0.0000
Co 0.2500 0.7500 0.5000
Co 0.7500 0.2500 0.5000
B 0.2819 0.2819 0.0000
B 0.7181 0.7181 0.0000
As 0.0000 0.0000 0.0000
As 0.3755 0.3755 0.0000
As 0.6245 0.6245 0.0000

***

[2]
Theoretical X-ray diffraction stick pattern
Compound: HoLu3Pt4
Radiation: Cu Kα (λ = 1.5418 Å)
Structure: a cell relaxed with PBE

The 6 most intense peaks (2θ from 15° to 90°), by intensity:
| 2θ/deg | I_rel |
| --- | --- |
| 40.63 | 100 |
| 32.92 | 77 |
| 36.90 | 53 |
| 36.78 | 50 |
| 40.77 | 46 |
| 54.74 | 28 |

Structural model:
Cell: 5.5095 4.4419 6.8855 Å, 90.00 90.30 90.00°
Fractional coordinates of all 8 atoms:
Ho 0.0000 0.0000 0.0000
Lu 0.2185 0.0000 0.4998
Lu 0.4995 0.5000 0.1381
Lu 0.7176 0.5000 0.6365
Pt 0.0164 0.5000 0.2780
Pt 0.2036 0.5000 0.7703
Pt 0.5150 0.0000 0.8619
Pt 0.7000 0.0000 0.3655

***

[3]
Theoretical X-ray diffraction stick pattern
Compound: Cs2SnAuBr6
Radiation: Cu Kα (λ = 1.5418 Å)
Structure: a cell relaxed with PBE

The 6 most intense peaks (2θ from 15° to 90°), by intensity:
| 2θ/deg | I_rel |
| --- | --- |
| 31.89 | 100 |
| 45.72 | 73 |
| 22.40 | 71 |
| 39.32 | 34 |
| 75.79 | 33 |
| 27.52 | 33 |

Structural model:
Cell: 7.9375 7.9375 7.9373 Å, 119.99 119.99 60.01°
Fractional coordinates of all 10 atoms:
Cs 0.2502 0.2502 0.2500
Cs 0.7498 0.7498 0.7500
Sn 0.0000 0.0000 0.5000
Au 0.5000 0.5000 0.0000
Br 0.2505 0.7484 0.7507
Br 0.2511 0.2511 0.7520
Br 0.2516 0.7495 0.2493
Br 0.7484 0.2505 0.7507
Br 0.7489 0.7489 0.2480
Br 0.7495 0.2516 0.2493

***

[4]
Theoretical X-ray diffraction stick pattern
Compound: NbBr2Cl3
Radiation: Cu Kα (λ = 1.5418 Å)
Structure: a cell relaxed with PBE

The 6 most intense peaks (2θ from 15° to 90°), by intensity:
| 2θ/deg | I_rel |
| --- | --- |
| 31.07 | 100 |
| 29.96 | 40 |
| 15.01 | 38 |
| 20.06 | 35 |
| 16.30 | 35 |
| 40.14 | 33 |

Structural model:
Cell: 6.7995 7.3249 9.6577 Å, 110.68 90.11 117.62°
Fractional coordinates of all 12 atoms:
Nb 0.1051 0.2176 0.2201
Nb 0.8949 0.7824 0.7799
Br 0.1140 0.6226 0.8482
Br 0.3022 0.0144 0.2475
Br 0.6978 0.9856 0.7525
Br 0.8860 0.3774 0.1518
Cl 0.0648 0.8173 0.5798
Cl 0.2206 0.1698 0.9587
Cl 0.4289 0.5596 0.3225
Cl 0.5711 0.4404 0.6775
Cl 0.7794 0.8302 0.0413
Cl 0.9352 0.1827 0.4202